(1)
The following is a calculated X-ray powder pattern of AcPaSe4. It was derived from the GGA-PBE geometry in Alexandria, using CuKα.

Structure:
```
data_AcPaSe4
_chemical_formula_sum 'Ac2 Pa2 Se8'
_cell_length_a 6.6671
_cell_length_b 6.6671
_cell_length_c 7.6881
_cell_angle_alpha 90.00
_cell_angle_beta 90.00
_cell_angle_gamma 90.00
_space_group_name_H-M_alt 'P 4/m b m'
_space_group_IT_number 127
_space_group_name_Hall '-P 4 2ab'
loop_
_atom_site_label
_atom_site_type_symbol
_atom_site_fract_x
_atom_site_fract_y
_atom_site_fract_z
Ac1 Ac 0.0000 0.0000 0.0000
Pa1 Pa 0.0000 0.0000 0.5000
Se1 Se 0.2103 0.2897 0.2753
```

Principal peaks in the range 10 to 90 degrees two-theta, in order of falling intensity:
index	d [Å]	Position (°2θ)	I_rel
2 0 2	2.518	35.65	100
1 1 0	4.714	18.82	86
1 1 2	2.979	29.99	74
2 2 0	2.357	38.18	46
3 1 0	2.108	42.90	30
3 1 2	1.849	49.30	26
2 2 4	1.490	62.32	25
4 2 2	1.390	67.37	22
3 1 4	1.420	65.74	16
4 0 0	1.666	55.11	15

(2)
The following is a calculated X-ray powder pattern of Ac3PaSe6. It was derived from the GGA-PBE geometry in Alexandria, using CuKα.

Structure:
```
data_Ac3PaSe6
_chemical_formula_sum 'Ac12 Pa4 Se24'
_cell_length_a 12.1890
_cell_length_b 14.6823
_cell_length_c 7.4878
_cell_angle_alpha 90.00
_cell_angle_beta 90.00
_cell_angle_gamma 90.00
_space_group_name_H-M_alt 'C m c 21'
_space_group_IT_number 36
_space_group_name_Hall 'C 2c -2'
loop_
_atom_site_label
_atom_site_type_symbol
_atom_site_fract_x
_atom_site_fract_y
_atom_site_fract_z
Ac1 Ac 0.0000 0.1006 0.0000
Ac2 Ac 0.1909 0.3964 0.0970
Pa1 Pa 0.0000 0.3448 0.6025
Se1 Se 0.0000 0.2713 0.2578
Se2 Se 0.0000 0.4915 0.8628
Se3 Se 0.1579 0.2451 0.7910
Se4 Se 0.1600 0.0282 0.2978
```

Principal peaks in the range 10 to 90 degrees two-theta, in order of falling intensity:
index	d [Å]	Position (°2θ)	I_rel
2 2 1	3.974	22.37	100
3 3 1	2.886	30.99	38
0 4 2	2.621	34.21	37
3 5 0	2.380	37.80	22
3 1 2	2.706	33.10	22
3 1 3	2.105	42.97	18
3 1 1	3.473	25.65	17
1 3 1	3.883	22.90	16
2 2 3	2.203	40.96	13
6 4 2	1.606	57.39	12

(3)
The following is a calculated X-ray powder pattern of Ac2PaSe6. It was derived from the GGA-PBE geometry in Alexandria, using CuKα.

Structure:
```
data_Ac2PaSe6
_chemical_formula_sum 'Ac2 Pa1 Se6'
_cell_length_a 8.0815
_cell_length_b 8.0815
_cell_length_c 4.2735
_cell_angle_alpha 90.00
_cell_angle_beta 90.00
_cell_angle_gamma 120.00
_space_group_name_H-M_alt 'P -6 2 m'
_space_group_IT_number 189
_space_group_name_Hall 'P -6 -2'
loop_
_atom_site_label
_atom_site_type_symbol
_atom_site_fract_x
_atom_site_fract_y
_atom_site_fract_z
Ac1 Ac 0.3333 0.6667 0.0000
Pa1 Pa 0.0000 0.0000 0.5000
Se1 Se 0.0000 0.2402 0.0000
Se2 Se 0.0000 0.6046 0.5000
```

Principal peaks in the range 10 to 90 degrees two-theta, in order of falling intensity:
index	d [Å]	Position (°2θ)	I_rel
2 0 1	2.707	33.09	100
2 1 1	2.249	40.09	80
1 1 0	4.041	22.00	78
3 0 0	2.333	38.59	59
1 1 1	2.936	30.44	51
1 0 1	3.647	24.40	49
3 2 1	1.503	61.72	36
3 0 2	1.576	58.58	35
0 0 2	2.137	42.30	27
4 1 2	1.243	76.70	23

(4)
The following is a calculated X-ray powder pattern of Ac2PaSi6. It was derived from the GGA-PBE geometry in Alexandria, using CuKα.

Structure:
```
data_Ac2PaSi6
_chemical_formula_sum 'Ac2 Pa1 Si6'
_cell_length_a 7.2500
_cell_length_b 7.2500
_cell_length_c 4.3124
_cell_angle_alpha 90.00
_cell_angle_beta 90.00
_cell_angle_gamma 120.00
_space_group_name_H-M_alt 'P 6/m m m'
_space_group_IT_number 191
_space_group_name_Hall '-P 6 2'
loop_
_atom_site_label
_atom_site_type_symbol
_atom_site_fract_x
_atom_site_fract_y
_atom_site_fract_z
Ac1 Ac 0.3333 0.6667 0.0000
Pa1 Pa 0.0000 0.0000 0.0000
Si1 Si 0.0000 0.3227 0.5000
```

Principal peaks in the range 10 to 90 degrees two-theta, in order of falling intensity:
index	d [Å]	Position (°2θ)	I_rel
1 1 1	2.775	32.26	100
1 1 0	3.625	24.56	58
3 0 0	2.093	43.23	28
2 2 1	1.671	54.95	23
0 0 1	4.312	20.60	20
4 1 1	1.306	72.37	20
3 0 2	1.502	61.77	20
1 1 2	1.853	49.17	19
3 0 1	1.883	48.34	15
1 1 3	1.336	70.47	11

(5)
The following is a calculated X-ray powder pattern of Ac2PaSi. It was derived from the GGA-PBE geometry in Alexandria, using CuKα.

Structure:
```
data_Ac2PaSi
_chemical_formula_sum 'Ac2 Pa1 Si1'
_cell_length_a 4.9514
_cell_length_b 4.9514
_cell_length_c 4.8567
_cell_angle_alpha 90.00
_cell_angle_beta 90.00
_cell_angle_gamma 90.00
_space_group_name_H-M_alt 'P 4/m m m'
_space_group_IT_number 123
_space_group_name_Hall '-P 4 2'
loop_
_atom_site_label
_atom_site_type_symbol
_atom_site_fract_x
_atom_site_fract_y
_atom_site_fract_z
Ac1 Ac 0.0000 0.5000 0.0000
Pa1 Pa 0.0000 0.0000 0.5000
Si1 Si 0.5000 0.5000 0.5000
```

Principal peaks in the range 10 to 90 degrees two-theta, in order of falling intensity:
index	d [Å]	Position (°2θ)	I_rel
1 1 1	2.840	31.50	100
2 0 0	2.476	36.29	34
3 1 1	1.490	62.30	30
2 0 2	1.734	52.81	24
0 0 2	2.428	37.02	16
1 0 0	4.951	17.91	15
1 1 3	1.469	63.29	14
1 0 1	3.467	25.69	13
2 2 2	1.420	65.76	13
3 1 3	1.125	86.47	13

(6)
The following is a calculated X-ray powder pattern of AcPaTlSn. It was derived from the GGA-PBE geometry in Alexandria, using CuKα.

Structure:
```
data_AcPaTlSn
_chemical_formula_sum 'Ac4 Pa4 Tl4 Sn4'
_cell_length_a 7.8929
_cell_length_b 7.8929
_cell_length_c 7.8929
_cell_angle_alpha 90.00
_cell_angle_beta 90.00
_cell_angle_gamma 90.00
_space_group_name_H-M_alt 'F -4 3 m'
_space_group_IT_number 216
_space_group_name_Hall 'F -4 2 3'
loop_
_atom_site_label
_atom_site_type_symbol
_atom_site_fract_x
_atom_site_fract_y
_atom_site_fract_z
Ac1 Ac 0.0000 0.0000 0.0000
Pa1 Pa 0.0000 0.0000 0.5000
Tl1 Tl 0.2500 0.2500 0.2500
Sn1 Sn 0.2500 0.2500 0.7500
```

Principal peaks in the range 10 to 90 degrees two-theta, in order of falling intensity:
index	d [Å]	Position (°2θ)	I_rel
2 2 0	2.791	32.07	100
4 2 2	1.611	57.17	40
4 0 0	1.973	45.99	19
6 2 0	1.248	76.30	18
4 4 0	1.395	67.08	13
4 4 4	1.139	85.17	5
2 0 0	3.946	22.53	3
1 1 1	4.557	19.48	2
4 2 0	1.765	51.80	1
3 1 1	2.380	37.80	1

(7)
The following is a calculated X-ray powder pattern of AcPa2Te7. It was derived from the GGA-PBE geometry in Alexandria, using CuKα.

Structure:
```
data_AcPa2Te7
_chemical_formula_sum 'Ac2 Pa4 Te14'
_cell_length_a 5.0987
_cell_length_b 5.0987
_cell_length_c 25.5479
_cell_angle_alpha 90.00
_cell_angle_beta 90.00
_cell_angle_gamma 90.00
_space_group_name_H-M_alt 'I 4/m m m'
_space_group_IT_number 139
_space_group_name_Hall '-I 4 2'
loop_
_atom_site_label
_atom_site_type_symbol
_atom_site_fract_x
_atom_site_fract_y
_atom_site_fract_z
Ac1 Ac 0.0000 0.0000 0.0000
Pa1 Pa 0.0000 0.0000 0.3259
Te1 Te 0.0000 0.0000 0.5000
Te2 Te 0.0000 0.5000 0.1064
Te3 Te 0.0000 0.5000 0.2500
```

Principal peaks in the range 10 to 90 degrees two-theta, in order of falling intensity:
index	d [Å]	Position (°2θ)	I_rel
1 1 6	2.751	32.54	100
2 0 0	2.550	35.20	56
1 0 3	4.375	20.30	51
3 1 6	1.508	61.50	33
2 2 0	1.803	50.63	23
2 1 3	2.203	40.97	18
1 1 4	3.140	28.43	12
1 1 8	2.391	37.63	11
1 0 9	2.480	36.22	11
4 2 0	1.140	85.09	10

(8)
The following is a calculated X-ray powder pattern of AcPb6. It was derived from the GGA-PBE geometry in Alexandria, using CuKα.

Structure:
```
data_AcPb6
_chemical_formula_sum 'Ac2 Pb12'
_cell_length_a 8.5256
_cell_length_b 8.5256
_cell_length_c 8.5256
_cell_angle_alpha 90.00
_cell_angle_beta 90.00
_cell_angle_gamma 90.00
_space_group_name_H-M_alt 'I m -3 m'
_space_group_IT_number 229
_space_group_name_Hall '-I 4 2 3'
loop_
_atom_site_label
_atom_site_type_symbol
_atom_site_fract_x
_atom_site_fract_y
_atom_site_fract_z
Ac1 Ac 0.0000 0.0000 0.0000
Pb1 Pb 0.0000 0.2500 0.5000
```

Principal peaks in the range 10 to 90 degrees two-theta, in order of falling intensity:
index	d [Å]	Position (°2θ)	I_rel
2 1 1	3.481	25.59	100
3 2 1	2.279	39.55	65
2 0 0	4.263	20.84	41
4 0 0	2.131	42.41	36
2 2 2	2.461	36.51	35
4 4 0	1.507	61.53	24
6 1 1	1.383	67.75	21
5 2 1	1.557	59.38	20
4 2 0	1.906	47.71	19
3 3 2	1.818	50.19	17